Structure and calculated PXRD pattern of Ba14U2V4S25O (a GGA+U-relaxed structure; Cu Kα (weighted mean of Kα1 and Kα2)).

Structural model:
a = 12.518 Å, b = 12.518 Å, c = 12.518 Å
α = 98.54°, β = 98.54°, γ = 134.66°
Fractional positions:
Ba 0.000 0.211 0.211
Ba 0.000 0.500 0.500
Ba 0.000 0.789 0.789
Ba 0.037 0.963 0.500
Ba 0.211 0.000 0.211
Ba 0.285 0.500 0.785
Ba 0.463 0.537 0.500
Ba 0.500 0.000 0.500
Ba 0.500 0.285 0.785
Ba 0.500 0.715 0.215
Ba 0.537 0.037 0.074
Ba 0.715 0.500 0.215
Ba 0.789 0.000 0.789
Ba 0.963 0.463 0.926
U 0.275 0.275 0.000
U 0.725 0.725 0.000
V 0.125 0.625 0.250
V 0.375 0.875 0.750
V 0.625 0.375 0.500
V 0.875 0.125 0.500
S 0.000 0.000 0.000
S 0.100 0.765 0.357
S 0.121 0.273 0.499
S 0.139 0.365 0.992
S 0.147 0.139 0.774
S 0.227 0.727 0.849
S 0.235 0.900 0.643
S 0.257 0.592 0.357
S 0.273 0.773 0.151
S 0.365 0.373 0.226
S 0.373 0.147 0.008
S 0.378 0.227 0.499
S 0.408 0.743 0.643
S 0.592 0.235 0.335
S 0.622 0.121 0.849
S 0.627 0.635 0.774
S 0.635 0.861 0.008
S 0.727 0.879 0.501
S 0.743 0.100 0.335
S 0.765 0.408 0.665
S 0.773 0.622 0.501
S 0.853 0.627 0.992
S 0.861 0.853 0.226
S 0.879 0.378 0.151
S 0.900 0.257 0.665
O 0.500 0.500 0.000

Top 10 peaks for 2θ = 10–90°, low angle first:
21.7°, d = 4.087 Å, I 85; 24.0°, d = 3.703 Å, I 100; 25.3°, d = 3.526 Å, I 81; 29.7°, d = 3.009 Å, I 83; 31.0°, d = 2.888 Å, I 59; 31.9°, d = 2.802 Å, I 29; 32.9°, d = 2.723 Å, I 30; 37.3°, d = 2.412 Å, I 43; 39.6°, d = 2.277 Å, I 28; 46.3°, d = 1.960 Å, I 30


Structure and calculated PXRD pattern of BaU3W3Se2O14 (a GGA+U-relaxed structure; Cu Kα (weighted mean of Kα1 and Kα2)).

Structural model:
a = 17.219 Å, b = 7.473 Å, c = 7.170 Å
α = 90.00°, β = 90.00°, γ = 90.00°
Fractional positions:
Ba 0.000 0.074 0.000
Ba 0.500 0.926 0.500
U 0.000 0.610 0.643
U 0.105 0.601 0.142
U 0.395 0.399 0.642
U 0.500 0.390 0.143
U 0.605 0.399 0.642
U 0.895 0.601 0.142
W 0.000 0.123 0.510
W 0.207 0.137 0.735
W 0.293 0.863 0.235
W 0.500 0.877 0.010
W 0.707 0.863 0.235
W 0.793 0.137 0.735
Se 0.205 0.621 0.636
Se 0.295 0.379 0.136
Se 0.705 0.379 0.136
Se 0.795 0.621 0.636
O 0.000 0.337 0.674
O 0.000 0.592 0.334
O 0.000 0.647 0.953
O 0.000 0.883 0.623
O 0.101 0.349 0.111
O 0.111 0.854 0.165
O 0.134 0.571 0.477
O 0.140 0.631 0.817
O 0.249 0.592 0.166
O 0.251 0.408 0.666
O 0.360 0.369 0.317
O 0.366 0.429 0.977
O 0.389 0.146 0.665
O 0.399 0.651 0.611
O 0.500 0.117 0.123
O 0.500 0.353 0.453
O 0.500 0.408 0.834
O 0.500 0.663 0.174
O 0.601 0.651 0.611
O 0.611 0.146 0.665
O 0.634 0.429 0.977
O 0.640 0.369 0.317
O 0.749 0.408 0.666
O 0.751 0.592 0.166
O 0.860 0.631 0.817
O 0.866 0.571 0.477
O 0.889 0.854 0.165
O 0.899 0.349 0.111

Top 10 peaks for 2θ = 10–90°, low angle first:
23.1°, d = 3.843 Å, I 24; 23.9°, d = 3.731 Å, I 23; 24.4°, d = 3.652 Å, I 92; 24.8°, d = 3.585 Å, I 47; 26.9°, d = 3.310 Å, I 44; 27.6°, d = 3.232 Å, I 23; 28.8°, d = 3.104 Å, I 100; 29.5°, d = 3.026 Å, I 30; 34.1°, d = 2.626 Å, I 41; 57.6°, d = 1.601 Å, I 34


Structure and calculated PXRD pattern of BaSmV4O12 (a GGA+U-relaxed structure; Cu Kα (weighted mean of Kα1 and Kα2)).

Structural model:
a = 5.403 Å, b = 5.403 Å, c = 7.571 Å
α = 90.00°, β = 90.00°, γ = 90.00°
Fractional positions:
Ba 0.000 0.000 0.000
Sm 0.500 0.500 0.500
V 0.000 0.500 0.253
V 0.000 0.500 0.747
V 0.500 0.000 0.253
V 0.500 0.000 0.747
O 0.000 0.500 0.000
O 0.000 0.500 0.500
O 0.256 0.256 0.262
O 0.256 0.256 0.738
O 0.256 0.744 0.262
O 0.256 0.744 0.738
O 0.500 0.000 0.000
O 0.500 0.000 0.500
O 0.744 0.256 0.262
O 0.744 0.256 0.738
O 0.744 0.744 0.262
O 0.744 0.744 0.738

Top 10 peaks for 2θ = 10–90°, low angle first:
20.2°, d = 4.398 Å, I 100; 33.2°, d = 2.701 Å, I 31; 33.3°, d = 2.689 Å, I 62; 39.1°, d = 2.302 Å, I 36; 39.4°, d = 2.287 Å, I 18; 41.0°, d = 2.199 Å, I 15; 47.6°, d = 1.910 Å, I 28; 52.4°, d = 1.745 Å, I 16; 59.3°, d = 1.557 Å, I 23; 70.0°, d = 1.345 Å, I 15


- What is the formula in the second record?
  BaU3W3Se2O14


What did the third record say?
Structure and calculated PXRD pattern of BaSmV4O12 (a GGA+U-relaxed structure; Cu Kα (weighted mean of Kα1 and Kα2)).

Structural model:
a = 5.403 Å, b = 5.403 Å, c = 7.571 Å
α = 90.00°, β = 90.00°, γ = 90.00°
Fractional positions:
Ba 0.000 0.000 0.000
Sm 0.500 0.500 0.500
V 0.000 0.500 0.253
V 0.000 0.500 0.747
V 0.500 0.000 0.253
V 0.500 0.000 0.747
O 0.000 0.500 0.000
O 0.000 0.500 0.500
O 0.256 0.256 0.262
O 0.256 0.256 0.738
O 0.256 0.744 0.262
O 0.256 0.744 0.738
O 0.500 0.000 0.000
O 0.500 0.000 0.500
O 0.744 0.256 0.262
O 0.744 0.256 0.738
O 0.744 0.744 0.262
O 0.744 0.744 0.738

Top 10 peaks for 2θ = 10–90°, low angle first:
20.2°, d = 4.398 Å, I 100; 33.2°, d = 2.701 Å, I 31; 33.3°, d = 2.689 Å, I 62; 39.1°, d = 2.302 Å, I 36; 39.4°, d = 2.287 Å, I 18; 41.0°, d = 2.199 Å, I 15; 47.6°, d = 1.910 Å, I 28; 52.4°, d = 1.745 Å, I 16; 59.3°, d = 1.557 Å, I 23; 70.0°, d = 1.345 Å, I 15